[1]
Mg6Co6P: theoretical powder diffractogram (copper Kα), based on a cell relaxed with GGA-PBE.
No peak broadening, texture or thermal motion is included.

Most intense lines, 5 to 70 degrees two-theta, in order of rising 2θ:
19.4°, d 4.574, I 68.8, hkl 0 0 2; 20.4°, d 4.343, I 21.5, hkl 1 0 0; 28.3°, d 3.150, I 11.9, hkl 1 0 2; 36.0°, d 2.496, I 8.4, hkl 1 0 3; 39.4°, d 2.287, I 36.3, hkl 0 0 4; 41.1°, d 2.199, I 40.8, hkl 1 1 2; 41.6°, d 2.172, I 62.2, hkl 2 0 0; 44.8°, d 2.024, I 15.6, hkl 1 0 4; 46.3°, d 1.962, I 100.0, hkl 2 0 2; 58.6°, d 1.575, I 29.0, hkl 2 0 4

Atomic structure:
Lattice parameters (Å, degrees): 5.0149 5.0149 9.1483 90.00 90.00 120.00
Space group P6/mmm (No. 191)
Asymmetric unit:
1 Mg 0.0000 0.0000 0.1766 [2 per cell]
2 Mg 0.3333 0.6667 0.0000 [2 per cell]
3 Mg 0.3333 0.6667 0.5000 [2 per cell]
4 Co 0.0000 0.5000 0.2517 [6 per cell]
5 P 0.0000 0.0000 0.5000 [1 per cell]



[2]
SrMgCoP: theoretical powder diffractogram (copper Kα), based on a cell relaxed with GGA-PBE.
No peak broadening, texture or thermal motion is included.

Most intense lines, 5 to 70 degrees two-theta, in order of rising 2θ:
7.6°, d 11.685, I 100.0, hkl 0 0 1; 23.9°, d 3.730, I 22.2, hkl 1 0 1; 30.6°, d 2.921, I 10.8, hkl 0 0 4; 32.3°, d 2.769, I 24.1, hkl 1 0 3; 35.7°, d 2.513, I 41.8, hkl 1 1 2; 38.4°, d 2.346, I 8.6, hkl 1 0 4; 39.8°, d 2.265, I 9.6, hkl 1 1 3; 46.1°, d 1.968, I 16.6, hkl 2 0 0; 57.4°, d 1.604, I 8.8, hkl 2 1 3; 57.8°, d 1.596, I 9.3, hkl 1 1 6

Atomic structure:
Lattice parameters (Å, degrees): 3.936 3.936 11.685 90.00 90.00 90.00
Space group P4/nmm (No. 129, origin choice 2)
Asymmetric unit:
1 Sr 0.250 0.250 0.221 [2 per cell]
2 Mg 0.250 0.750 0.500 [2 per cell]
3 Co 0.250 0.750 0.000 [2 per cell]
4 P 0.250 0.250 0.905 [2 per cell]



[3]
Mg3PaCo8: theoretical powder diffractogram (copper Kα), based on a cell relaxed with GGA-PBE.
No peak broadening, texture or thermal motion is included.

Most intense lines, 5 to 70 degrees two-theta, in order of rising 2θ:
11.0°, d 8.055, I 67.6, hkl 0 0 3; 21.4°, d 4.153, I 53.7, hkl 1 0 1; 25.8°, d 3.457, I 36.2, hkl 1 0 4; 28.1°, d 3.177, I 32.7, hkl 0 1 5; 36.6°, d 2.455, I 32.4, hkl 0 1 8; 36.9°, d 2.434, I 32.5, hkl 1 1 0; 43.1°, d 2.097, I 64.6, hkl 1 0 10; 43.4°, d 2.083, I 100.0, hkl 1 1 6; 43.6°, d 2.076, I 52.1, hkl 2 0 2; 45.6°, d 1.990, I 56.5, hkl 0 2 4

Atomic structure:
Lattice parameters (Å, degrees): 4.8677 4.8677 24.1649 90.00 90.00 120.00
Space group R3m (No. 160, hexagonal axes)
Asymmetric unit:
1 Mg 0.0000 0.0000 0.0000 [3 per cell]
2 Mg 0.0000 0.0000 0.1188 [3 per cell]
3 Mg 0.0000 0.0000 0.4870 [3 per cell]
4 Pa 0.0000 0.0000 0.6152 [3 per cell]
5 Co 0.0000 0.0000 0.3048 [3 per cell]
6 Co 0.0000 0.0000 0.8039 [3 per cell]
7 Co 0.0030 0.5015 0.0555 [9 per cell]
8 Co 0.1672 0.3343 0.8864 [9 per cell]



[4]
MgPaZnCo: theoretical powder diffractogram (copper Kα), based on a cell relaxed with GGA-PBE.
No peak broadening, texture or thermal motion is included.

Most intense lines, 5 to 70 degrees two-theta, in order of rising 2θ:
23.3°, d 3.817, I 64.0, hkl 1 1 1; 27.0°, d 3.306, I 11.4, hkl 2 0 0; 38.5°, d 2.338, I 100.0, hkl 2 2 0; 45.5°, d 1.993, I 34.4, hkl 3 1 1; 47.6°, d 1.909, I 3.6, hkl 2 2 2; 55.6°, d 1.653, I 17.1, hkl 4 0 0; 61.1°, d 1.517, I 14.8, hkl 3 3 1; 62.9°, d 1.478, I 5.2, hkl 4 2 0; 69.7°, d 1.350, I 34.3, hkl 4 2 2

Atomic structure:
Lattice parameters (Å, degrees): 6.612 6.612 6.612 90.00 90.00 90.00
Space group F-43m (No. 216)
Asymmetric unit:
1 Mg 0.000 0.000 0.000 [4 per cell]
2 Pa 0.000 0.000 0.500 [4 per cell]
3 Zn 0.250 0.250 0.250 [4 per cell]
4 Co 0.250 0.250 0.750 [4 per cell]